Record 1
Theoretical powder X-ray diffraction pattern of BeAl2 for Cu Kα (λ = 1.5418 Å), from a PBE-relaxed structure.

Cell and atoms:
a = 4.8115 Å, b = 4.8115 Å, c = 4.8115 Å
α = 147.35°, β = 135.15°, γ = 56.57°
Positions (direct):
Be  0.0000  0.0000  0.0000
Al  0.3433  0.3433  0.0000
Al  0.6567  0.6567  0.0000

Most intense lines, 10 to 90 degrees two-theta, by angle:
2θ (°)	d [Å]	intensity
21.0	4.237	17
26.5	3.369	51
34.8	2.577	25
40.3	2.239	100
41.5	2.178	95
42.7	2.118	12
46.5	1.954	65
49.7	1.836	28
61.0	1.518	17
70.4	1.338	38
81.2	1.185	23
83.5	1.158	24

***

Record 2
Theoretical powder X-ray diffraction pattern of TbTeS for Cu Kα (λ = 1.5418 Å), from a PBE-relaxed structure.

Cell and atoms:
a = 7.6523 Å, b = 7.6523 Å, c = 7.6523 Å
α = 148.37°, β = 136.56°, γ = 54.72°
Positions (direct):
Tb  0.1610  0.1610  0.0000
Tb  0.8390  0.8390  0.0000
Te  0.2533  0.5000  0.7533
Te  0.7467  0.5000  0.2467
S  0.2856  0.7856  0.5000
S  0.7144  0.2144  0.5000

Most intense lines, 10 to 90 degrees two-theta, by angle:
2θ (°)	d [Å]	intensity
17.0	5.228	21
25.2	3.538	30
26.5	3.358	22
29.1	3.069	100
34.3	2.614	35
37.7	2.389	15
39.0	2.309	46
39.8	2.265	17
41.5	2.175	17
43.4	2.085	20
51.5	1.775	19
56.4	1.630	16

***

Record 3
Theoretical powder X-ray diffraction pattern of CuTcSb for Cu Kα (λ = 1.5418 Å), from a PBE-relaxed structure.

Cell and atoms:
a = 7.6229 Å, b = 7.6229 Å, c = 7.6229 Å
α = 32.03°, β = 32.03°, γ = 32.03°
Positions (direct):
Cu  0.0000  0.0000  0.0000
Cu  0.3840  0.3840  0.3840
Tc  0.5076  0.5076  0.5076
Tc  0.8756  0.8756  0.8756
Sb  0.2642  0.2642  0.2642
Sb  0.7529  0.7529  0.7529

Most intense lines, 10 to 90 degrees two-theta, by angle:
2θ (°)	d [Å]	intensity
24.6	3.613	9
25.8	3.453	44
29.5	3.023	46
41.5	2.174	100
43.0	2.103	97
48.9	1.863	10
50.2	1.818	8
53.0	1.727	9
61.3	1.512	30
74.8	1.270	13
77.8	1.228	30
78.8	1.214	15

***

Record 4
Theoretical powder X-ray diffraction pattern of K2NdMnS4 for Cu Kα (λ = 1.5418 Å), from a PBE-relaxed structure.

Cell and atoms:
a = 8.3640 Å, b = 8.3640 Å, c = 8.3640 Å
α = 123.88°, β = 119.27°, γ = 87.34°
Positions (direct):
K  0.0000  0.0000  0.0000
K  0.5000  0.0000  0.0000
K  0.5000  0.0000  0.5000
K  0.5000  0.5000  0.5000
Nd  0.0000  0.5000  0.5000
Nd  0.5000  0.5000  0.0000
Mn  0.0000  0.0000  0.5000
Mn  0.0000  0.5000  0.0000
S  0.1733  0.7418  0.4314
S  0.1896  0.2582  0.9314
S  0.2443  0.2631  0.5188
S  0.2443  0.7255  0.9812
S  0.7557  0.2745  0.0188
S  0.7557  0.7369  0.4812
S  0.8104  0.7418  0.0686
S  0.8267  0.2582  0.5686

Most intense lines, 10 to 90 degrees two-theta, by angle:
2θ (°)	d [Å]	intensity
13.4	6.597	61
25.0	3.559	21
25.7	3.465	31
27.0	3.298	21
29.5	3.025	65
31.1	2.880	100
43.4	2.086	74
46.1	1.967	17
51.3	1.780	17
52.8	1.733	16
55.7	1.649	18
70.3	1.339	16

***

Record 5
Theoretical powder X-ray diffraction pattern of YEr2TmSc5 for Cu Kα (λ = 1.5418 Å), from a PBE-relaxed structure.

Cell and atoms:
a = 9.6493 Å, b = 9.6493 Å, c = 10.2063 Å
α = 90.00°, β = 90.00°, γ = 148.04°
Positions (direct):
Y  0.0829  0.9171  0.5000
Y  0.9171  0.0829  0.0000
Er  0.3885  0.6115  0.3651
Er  0.3901  0.6099  0.7731
Er  0.6099  0.3901  0.2731
Er  0.6115  0.3885  0.8651
Tm  0.2940  0.7060  0.0549
Tm  0.7060  0.2940  0.5549
Sc  0.0216  0.9784  0.7768
Sc  0.1047  0.8953  0.0649
Sc  0.2003  0.7997  0.7556
Sc  0.2162  0.7838  0.3473
Sc  0.4795  0.5205  0.0729
Sc  0.5205  0.4795  0.5729
Sc  0.7838  0.2162  0.8473
Sc  0.7997  0.2003  0.2556
Sc  0.8953  0.1047  0.5649
Sc  0.9784  0.0216  0.2768

Most intense lines, 10 to 90 degrees two-theta, by angle:
2θ (°)	d [Å]	intensity
17.4	5.107	18
22.1	4.030	14
23.7	3.748	25
26.0	3.432	13
27.9	3.194	17
30.2	2.959	19
31.6	2.831	46
33.7	2.657	39
34.3	2.613	100
53.8	1.703	14
60.7	1.525	18
65.0	1.434	14

***

Record 6
Theoretical powder X-ray diffraction pattern of Sc7Pd4Pb for Cu Kα (λ = 1.5418 Å), from a PBE-relaxed structure.

Cell and atoms:
a = 7.0167 Å, b = 7.0167 Å, c = 9.0814 Å
α = 122.08°, β = 122.08°, γ = 44.67°
Positions (direct):
Sc  0.0000  0.0000  0.0000
Sc  0.1970  0.1970  0.6426
Sc  0.2863  0.2863  0.1160
Sc  0.4354  0.4354  0.6207
Sc  0.5646  0.5646  0.3793
Sc  0.7137  0.7137  0.8840
Sc  0.8030  0.8030  0.3574
Pd  0.0615  0.0615  0.7629
Pd  0.2046  0.2046  0.3455
Pd  0.7954  0.7954  0.6545
Pd  0.9385  0.9385  0.2371
Pb  0.5000  0.5000  0.0000

Most intense lines, 10 to 90 degrees two-theta, by angle:
2θ (°)	d [Å]	intensity
13.8	6.397	44
25.6	3.480	33
26.3	3.384	63
26.6	3.346	43
32.3	2.773	52
33.6	2.666	100
34.2	2.622	32
34.4	2.610	33
37.8	2.380	32
40.5	2.226	72
41.2	2.190	31
47.3	1.922	35

***

Record 7
Theoretical powder X-ray diffraction pattern of LaSm2Hg2 for Cu Kα (λ = 1.5418 Å), from a PBE-relaxed structure.

Cell and atoms:
a = 3.8345 Å, b = 5.5200 Å, c = 14.1254 Å
α = 90.00°, β = 97.84°, γ = 90.00°
Positions (direct):
La  0.1463  0.2500  0.2901
La  0.8537  0.7500  0.7099
Sm  0.0485  0.7500  0.0964
Sm  0.2357  0.7500  0.4726
Sm  0.7643  0.2500  0.5274
Sm  0.9515  0.2500  0.9036
Hg  0.3554  0.2500  0.7114
Hg  0.4549  0.7500  0.9098
Hg  0.5451  0.2500  0.0902
Hg  0.6446  0.7500  0.2886

Most intense lines, 10 to 90 degrees two-theta, by angle:
2θ (°)	d [Å]	intensity
32.0	2.799	23
32.4	2.760	27
32.6	2.745	100
46.2	1.965	16
47.4	1.917	9
57.4	1.605	13
58.0	1.591	20
58.3	1.582	8
58.6	1.575	10
68.4	1.372	10
76.9	1.240	6
78.7	1.216	8

***

Record 8
Theoretical powder X-ray diffraction pattern of Ce4Se3N2 for Cu Kα (λ = 1.5418 Å), from a PBE-relaxed structure.

Cell and atoms:
a = 6.9431 Å, b = 6.9431 Å, c = 9.1888 Å
α = 121.37°, β = 121.37°, γ = 33.43°
Positions (direct):
Ce  0.1119  0.1119  0.3996
Ce  0.3117  0.3117  0.8810
Ce  0.6883  0.6883  0.1190
Ce  0.8881  0.8881  0.6004
Se  0.0000  0.0000  0.0000
Se  0.3872  0.3872  0.2765
Se  0.6128  0.6128  0.7235
N  0.3080  0.3080  0.6387
N  0.6920  0.6920  0.3613

Most intense lines, 10 to 90 degrees two-theta, by angle:
2θ (°)	d [Å]	intensity
24.2	3.672	10
29.3	3.048	63
30.2	2.964	100
32.1	2.791	12
32.9	2.723	14
36.3	2.475	57
39.9	2.261	13
40.8	2.211	11
45.4	1.997	21
48.1	1.891	28
55.0	1.670	22
60.6	1.529	16

***

Record 9
Theoretical powder X-ray diffraction pattern of Rb2TaI for Cu Kα (λ = 1.5418 Å), from a PBE-relaxed structure.

Cell and atoms:
a = 9.8118 Å, b = 9.8118 Å, c = 9.8118 Å
α = 94.49°, β = 94.49°, γ = 147.49°
Positions (direct):
Rb  0.3750  0.0303  0.1553
Rb  0.7803  0.6250  0.6553
Rb  0.8750  0.2197  0.8447
Rb  0.9697  0.1250  0.3447
Ta  0.2500  0.7500  0.5000
Ta  0.5000  0.5000  0.0000
I  0.0000  0.0000  0.0000
I  0.7500  0.2500  0.5000

Most intense lines, 10 to 90 degrees two-theta, by angle:
2θ (°)	d [Å]	intensity
13.3	6.661	100
18.8	4.710	42
21.1	4.213	21
22.0	4.039	38
26.8	3.330	34
30.0	2.979	75
34.0	2.637	34
39.2	2.301	43
42.9	2.106	22
43.8	2.067	20
48.1	1.893	25
59.5	1.554	21

***

Record 10
Theoretical powder X-ray diffraction pattern of Na2HgSO4 for Cu Kα (λ = 1.5418 Å), from a PBE-relaxed structure.

Cell and atoms:
a = 5.7318 Å, b = 5.7318 Å, c = 5.7318 Å
α = 106.17°, β = 106.17°, γ = 116.29°
Positions (direct):
Na  0.0000  0.0000  0.0000
Na  0.7500  0.2500  0.5000
Hg  0.5000  0.5000  0.0000
S  0.2500  0.7500  0.5000
O  0.0957  0.7754  0.6681
O  0.1072  0.4276  0.3319
O  0.2246  0.8928  0.3204
O  0.5724  0.9043  0.6796

Most intense lines, 10 to 90 degrees two-theta, by angle:
2θ (°)	d [Å]	intensity
18.2	4.869	35
19.5	4.545	100
25.9	3.443	87
32.6	2.744	89
34.9	2.569	67
36.9	2.434	23
39.7	2.272	20
41.5	2.177	19
50.1	1.821	19
51.7	1.767	48
57.2	1.610	17
73.7	1.285	16

***

Record 11
Theoretical powder X-ray diffraction pattern of LiAl2Pd3 for Cu Kα (λ = 1.5418 Å), from a PBE-relaxed structure.

Cell and atoms:
a = 6.8376 Å, b = 6.8376 Å, c = 6.0550 Å
α = 90.00°, β = 90.00°, γ = 143.19°
Positions (direct):
Li  0.1683  0.8317  0.0000
Li  0.8317  0.1683  0.0000
Al  0.1679  0.8321  0.5000
Al  0.5000  0.5000  0.0000
Al  0.5000  0.5000  0.5000
Al  0.8321  0.1679  0.5000
Pd  0.0000  0.0000  0.2523
Pd  0.0000  0.0000  0.7477
Pd  0.3359  0.6641  0.2546
Pd  0.3359  0.6641  0.7454
Pd  0.6641  0.3359  0.2546
Pd  0.6641  0.3359  0.7454

Most intense lines, 10 to 90 degrees two-theta, by angle:
2θ (°)	d [Å]	intensity
29.2	3.056	65
29.5	3.028	32
41.8	2.161	51
42.0	2.151	100
52.0	1.759	25
60.6	1.528	17
61.2	1.514	8
68.8	1.365	16
69.3	1.356	10
76.4	1.246	16
76.5	1.245	16
76.9	1.240	16